No. 1
Diffraction record for Na3CoO3. The X-ray powder pattern is calculated, not measured: it uses a GGA+U-relaxed structure and Cu Kα (λ = 1.5418 Å).

Cell and atoms:
```
data_Na3CoO3
_chemical_formula_sum 'Na12 Co4 O12'
_cell_length_a 9.181
_cell_length_b 9.181
_cell_length_c 4.501
_cell_angle_alpha 90.00
_cell_angle_beta 90.00
_cell_angle_gamma 90.00
_space_group_name_H-M_alt 'P 42/m n m'
_space_group_IT_number 136
_space_group_name_Hall '-P 4n 2n'
loop_
_atom_site_label
_atom_site_fract_x
_atom_site_fract_y
_atom_site_fract_z
Na1 0.129 0.371 0.000
Na2 0.146 0.146 0.500
Co1 0.114 0.886 0.000
O1 0.095 0.095 0.000
O2 0.105 0.691 0.000
```

Principal peaks in the range 2θ = 10–90°, in order of rising 2θ:
| (hkl) | Position (°2θ) | intensity |
| --- | --- | --- |
| 1 1 0 | 13.6 | 271 |
| 1 0 1 | 22.0 | 998 |
| 1 1 1 | 24.1 | 262 |
| 2 2 1 | 34.1 | 1000 |
| 4 0 0 | 39.2 | 859 |
| 0 0 2 | 40.1 | 571 |
| 5 0 1 | 53.9 | 243 |
| 4 4 0 | 56.7 | 190 |
| 4 0 2 | 57.3 | 497 |
| 6 2 1 | 67.8 | 350 |


No. 2
Diffraction record for Li4Co7O14. The X-ray powder pattern is calculated, not measured: it uses a GGA+U-relaxed structure and Cu Kα (λ = 1.5418 Å).

Cell and atoms:
```
data_Li4Co7O14
_chemical_formula_sum 'Li4 Co7 O14'
_cell_length_a 6.102
_cell_length_b 6.746
_cell_length_c 7.447
_cell_angle_alpha 104.00
_cell_angle_beta 110.06
_cell_angle_gamma 109.20
_space_group_name_H-M_alt 'P 1'
_space_group_IT_number 1
_space_group_name_Hall 'P 1'
loop_
_atom_site_label
_atom_site_fract_x
_atom_site_fract_y
_atom_site_fract_z
Li1 0.000 0.000 0.000
Li2 0.037 0.096 0.482
Li3 0.493 0.546 0.612
Li4 0.623 0.570 0.104
Co1 0.058 0.555 0.859
Co2 0.187 0.709 0.573
Co3 0.344 0.846 0.289
Co4 0.486 0.986 0.003
Co5 0.634 0.132 0.719
Co6 0.760 0.278 0.426
Co7 0.927 0.411 0.149
O1 0.124 0.821 0.796
O2 0.126 0.441 0.630
O3 0.277 0.591 0.366
O4 0.277 0.971 0.511
O5 0.401 0.100 0.217
O6 0.412 0.725 0.071
O7 0.556 0.864 0.780
O8 0.570 0.253 0.940
O9 0.697 0.016 0.494
O10 0.701 0.393 0.655
O11 0.842 0.540 0.361
O12 0.845 0.147 0.213
O13 0.985 0.285 0.921
O14 0.989 0.679 0.082
```

Principal peaks in the range 2θ = 10–90°, in order of rising 2θ:
| (hkl) | Position (°2θ) | intensity |
| --- | --- | --- |
| 1 -1 0 | 17.1 | 1000 |
| 1 2 -2 | 37.3 | 180 |
| 1 0 -3 | 37.4 | 91 |
| 0 2 1 | 38.7 | 67 |
| 2 0 1 | 43.7 | 253 |
| -2 1 3 | 44.0 | 126 |
| 1 -4 2 | 55.9 | 106 |
| -3 2 3 | 56.2 | 51 |
| 0 1 4 | 66.4 | 71 |
| 1 3 -5 | 69.0 | 53 |


No. 3
Diffraction record for Sr2MnSbO6. The X-ray powder pattern is calculated, not measured: it uses a GGA+U-relaxed structure and Cu Kα (λ = 1.5418 Å).

Cell and atoms:
```
data_Sr2MnSbO6
_chemical_formula_sum 'Sr4 Mn2 Sb2 O12'
_cell_length_a 5.615
_cell_length_b 5.615
_cell_length_c 8.158
_cell_angle_alpha 90.00
_cell_angle_beta 90.00
_cell_angle_gamma 90.00
_space_group_name_H-M_alt 'I 4 m m'
_space_group_IT_number 107
_space_group_name_Hall 'I 4 -2'
loop_
_atom_site_label
_atom_site_fract_x
_atom_site_fract_y
_atom_site_fract_z
Sr1 0.000 0.500 0.000
Mn1 0.000 0.000 0.254
Sb1 0.000 0.000 0.754
O1 0.000 0.000 0.511
O2 0.000 0.000 0.999
O3 0.247 0.247 0.257
```

Principal peaks in the range 2θ = 10–90°, in order of rising 2θ:
| (hkl) | Position (°2θ) | intensity |
| --- | --- | --- |
| 1 0 1 | 19.2 | 133 |
| 1 1 2 | 31.4 | 1000 |
| 2 0 0 | 31.9 | 483 |
| 0 0 4 | 44.4 | 183 |
| 2 2 0 | 45.7 | 337 |
| 2 0 4 | 55.7 | 197 |
| 3 1 2 | 56.5 | 377 |
| 2 2 4 | 65.6 | 207 |
| 4 0 0 | 66.6 | 99 |
| 4 0 4 | 83.6 | 102 |


No. 4
Diffraction record for Li4MnSnW2O12. The X-ray powder pattern is calculated, not measured: it uses a GGA+U-relaxed structure and Cu Kα (λ = 1.5418 Å).

Cell and atoms:
```
data_Li4MnSnW2O12
_chemical_formula_sum 'Li4 Mn1 Sn1 W2 O12'
_cell_length_a 5.146
_cell_length_b 5.429
_cell_length_c 7.502
_cell_angle_alpha 94.27
_cell_angle_beta 90.03
_cell_angle_gamma 90.01
_space_group_name_H-M_alt 'P 1'
_space_group_IT_number 1
_space_group_name_Hall 'P 1'
loop_
_atom_site_label
_atom_site_fract_x
_atom_site_fract_y
_atom_site_fract_z
Li1 0.000 0.000 0.000
Li2 0.000 0.012 0.469
Li3 0.493 0.519 0.472
Li4 0.494 0.534 0.987
Mn1 0.495 0.952 0.262
Sn1 0.998 0.450 0.763
W1 0.501 0.952 0.763
W2 0.994 0.449 0.264
O1 0.125 0.424 0.025
O2 0.180 0.110 0.709
O3 0.199 0.740 0.330
O4 0.293 0.239 0.334
O5 0.337 0.627 0.712
O6 0.376 0.927 0.020
O7 0.617 0.940 0.519
O8 0.672 0.254 0.840
O9 0.691 0.637 0.212
O10 0.802 0.133 0.213
O11 0.805 0.769 0.838
O12 0.869 0.436 0.507
```

Principal peaks in the range 2θ = 10–90°, in order of rising 2θ:
| (hkl) | Position (°2θ) | intensity |
| --- | --- | --- |
| 1 0 1 | 21.0 | 158 |
| 1 1 0 | 23.8 | 1000 |
| 0 2 0 | 33.1 | 396 |
| 2 0 0 | 34.8 | 272 |
| 2 0 2 | 42.7 | 101 |
| 2 2 0 | 48.8 | 121 |
| 1 1 -4 | 53.7 | 90 |
| 1 3 0 | 53.8 | 180 |
| 2 2 2 | 56.3 | 89 |
| 0 2 4 | 62.5 | 107 |